Entry 1:
Diffraction record for AlFe2As. The powder diffractogram is simulated, not measured: it uses DFT lattice parameters and positions (PBE) and CuKα.
Kinematic intensities with the Lorentz-polarization factor, no thermal factor.

Principal peaks in the range 10 to 80 degrees two-theta, low angle first:
2θ = 15.41°, rel. 12, (1 0 0)
2θ = 26.86°, rel. 3, (1 1 1)
2θ = 34.90°, rel. 4, (2 1 0)
2θ = 44.58°, rel. 100, (2 2 0)
2θ = 47.45°, rel. 3, (2 2 1)
2θ = 52.82°, rel. 2, (3 1 1)
2θ = 57.84°, rel. 2, (3 2 0)
2θ = 64.89°, rel. 15, (4 0 0)
2θ = 67.14°, rel. 1, (4 1 0)
2θ = 75.84°, rel. 1, (4 2 1)

Structural model:
```
data_AlFe2As
_cell_length_a 5.748
_cell_length_b 5.748
_cell_length_c 5.748
_cell_angle_alpha 90.00
_cell_angle_beta 90.00
_cell_angle_gamma 90.00
_symmetry_space_group_name_H-M 'P m -3 m'
_symmetry_Int_Tables_number 221
_symmetry_space_group_name_Hall '-P 4 2 3'
loop_
_atom_site_label
_atom_site_type_symbol
_atom_site_fract_x
_atom_site_fract_y
_atom_site_fract_z
Al1 Al 0.000 0.000 0.000
Al2 Al 0.000 0.000 0.500
Fe1 Fe 0.255 0.255 0.255
As1 As 0.000 0.500 0.500
As2 As 0.500 0.500 0.500
```



Entry 2:
Diffraction record for Cs3Zr2P5S18. The powder diffractogram is simulated, not measured: it uses DFT lattice parameters and positions (PBE) and CuKα.
Kinematic intensities with the Lorentz-polarization factor, no thermal factor.

Principal peaks in the range 10 to 80 degrees two-theta, low angle first:
2θ = 15.99°, rel. 36, (1 1 -4)
2θ = 17.68°, rel. 95, (0 2 1)
2θ = 18.75°, rel. 100, (2 0 0)
2θ = 19.58°, rel. 34, (1 1 -6)
2θ = 20.72°, rel. 50, (2 0 -4)
2θ = 25.34°, rel. 33, (2 0 6)
2θ = 26.03°, rel. 100, (0 0 10)
2θ = 30.66°, rel. 50, (1 3 -5)
2θ = 30.98°, rel. 35, (2 0 -10)
2θ = 31.29°, rel. 41, (3 1 3)

Structural model:
```
data_Cs3Zr2P5S18
_cell_length_a 9.500
_cell_length_b 10.141
_cell_length_c 34.343
_cell_angle_alpha 90.00
_cell_angle_beta 94.61
_cell_angle_gamma 90.00
_symmetry_space_group_name_H-M 'C 1 c 1'
_symmetry_Int_Tables_number 9
loop_
_symmetry_equiv_pos_as_xyz
'x,y,z'
'x,-y,z+1/2'
'x+1/2,y+1/2,z'
'x+1/2,-y+1/2,z+1/2'
loop_
_atom_site_label
_atom_site_type_symbol
_atom_site_fract_x
_atom_site_fract_y
_atom_site_fract_z
Cs1 Cs 0.000 0.094 0.000
Cs2 Cs 0.008 0.391 0.205
Cs3 Cs 0.420 0.138 0.892
Zr1 Zr 0.058 0.087 0.792
Zr2 Zr 0.452 0.293 0.100
P1 P 0.025 0.246 0.875
P2 P 0.033 0.148 0.695
P3 P 0.091 0.280 0.517
P4 P 0.160 0.467 0.081
P5 P 0.237 0.187 0.311
S1 S 0.023 0.176 0.306
S2 S 0.029 0.047 0.866
S3 S 0.101 0.319 0.926
S4 S 0.112 0.316 0.826
S5 S 0.130 0.490 0.520
S6 S 0.144 0.253 0.739
S7 S 0.151 0.110 0.649
S8 S 0.159 0.228 0.466
S9 S 0.164 0.268 0.087
S10 S 0.187 0.188 0.565
S11 S 0.292 0.349 0.280
S12 S 0.301 0.201 0.372
S13 S 0.313 0.012 0.291
S14 S 0.356 0.466 0.601
S15 S 0.362 0.250 0.171
S16 S 0.382 0.246 0.026
S17 S 0.477 0.480 0.724
S18 S 0.498 0.038 0.111
```



Entry 3:
Diffraction record for RbPrSO. The powder diffractogram is simulated, not measured: it uses DFT lattice parameters and positions (PBE) and CuKα.
Kinematic intensities with the Lorentz-polarization factor, no thermal factor.

Principal peaks in the range 10 to 80 degrees two-theta, low angle first:
2θ = 11.56°, rel. 87, (1 0 0)
2θ = 23.23°, rel. 61, (2 0 0)
2θ = 25.97°, rel. 43, (2 1 0)
2θ = 26.69°, rel. 100, (1 0 -2)
2θ = 27.82°, rel. 87, (1 2 -1)
2θ = 32.09°, rel. 81, (1 0 2)
2θ = 33.36°, rel. 53, (2 2 -1)
2θ = 37.94°, rel. 38, (2 2 1)
2θ = 47.54°, rel. 39, (0 2 3)
2θ = 48.62°, rel. 39, (1 4 0)

Structural model:
```
data_RbPrSO
_cell_length_a 7.904
_cell_length_b 7.726
_cell_length_c 6.809
_cell_angle_alpha 90.00
_cell_angle_beta 104.32
_cell_angle_gamma 90.00
_symmetry_space_group_name_H-M 'P 1 21/c 1'
_symmetry_Int_Tables_number 14
loop_
_symmetry_equiv_pos_as_xyz
'x,y,z'
'-x,-y,-z'
'-x,y+1/2,-z+1/2'
'x,-y+1/2,z+1/2'
loop_
_atom_site_label
_atom_site_type_symbol
_atom_site_fract_x
_atom_site_fract_y
_atom_site_fract_z
Rb1 Rb 0.082 0.243 0.009
Pr1 Pr 0.469 0.627 0.269
S1 S 0.252 0.588 0.845
O1 O 0.396 0.148 0.881
```



Entry 4:
Diffraction record for HfGe. The powder diffractogram is simulated, not measured: it uses DFT lattice parameters and positions (PBE) and CuKα.
Kinematic intensities with the Lorentz-polarization factor, no thermal factor.

Principal peaks in the range 10 to 80 degrees two-theta, low angle first:
2θ = 30.07°, rel. 100, (1 0 1)
2θ = 31.78°, rel. 6, (0 0 2)
2θ = 41.15°, rel. 50, (1 0 2)
2θ = 44.88°, rel. 46, (1 1 0)
2θ = 54.97°, rel. 19, (2 0 1)
2θ = 55.56°, rel. 18, (1 0 3)
2θ = 56.04°, rel. 8, (1 1 2)
2θ = 62.51°, rel. 14, (2 0 2)
2θ = 73.59°, rel. 16, (2 1 1)
2θ = 74.09°, rel. 8, (2 0 3)

Structural model:
```
data_HfGe
_cell_length_a 4.0391
_cell_length_b 4.0391
_cell_length_c 5.6320
_cell_angle_alpha 90.00
_cell_angle_beta 90.00
_cell_angle_gamma 120.00
_symmetry_space_group_name_H-M 'P 63/m m c'
_symmetry_Int_Tables_number 194
_symmetry_space_group_name_Hall '-P 6c 2c'
loop_
_atom_site_label
_atom_site_type_symbol
_atom_site_fract_x
_atom_site_fract_y
_atom_site_fract_z
Hf1 Hf 0.3333 0.6667 0.2500
Ge1 Ge 0.0000 0.0000 0.0000
```